Na5B8C2: calculated powder X-ray diffraction pattern (Cu Kα, 1.54184 Å), based on a crystal structure in Alexandria, relaxed with PBE.
Lines closer than 0.1° are merged.

The 10 most intense peaks (2θ = 10–90°), by intensity:
d [Å]  Position (°2θ)  Rel. int.  hkl
2.158  41.9  100  1 -2 2
2.254  40.0  50  2 1 3
2.169  41.6  38  0 0 4
1.493  62.2  18  3 4 2
1.230  77.7  17  3 4 6
2.487  36.1  17  1 3 1
2.639  34.0  13  2 1 1
1.250  76.1  13  1 -2 6
1.410  66.3  10  0 5 1
1.635  56.3  10  1 3 5

Atomic structure:
```
data_Na5B8C2
_chemical_formula_sum 'Na10 B16 C4'
_cell_length_a 5.2776
_cell_length_b 7.5266
_cell_length_c 9.1762
_cell_angle_alpha 75.84
_cell_angle_beta 73.32
_cell_angle_gamma 69.50
_space_group_name_H-M_alt 'P -1'
_space_group_IT_number 2
_space_group_name_Hall '-P 1'
loop_
_atom_site_label
_atom_site_type_symbol
_atom_site_fract_x
_atom_site_fract_y
_atom_site_fract_z
_atom_site_occupancy
Na1 Na 0.0000 0.0000 0.0000 1
Na2 Na 0.0000 0.5000 0.5000 1
Na3 Na 0.2001 0.1003 0.4997 1
Na4 Na 0.2048 0.6011 0.9969 1
Na5 Na 0.3991 0.7010 0.5005 1
Na6 Na 0.4005 0.1987 0.0037 1
B1 B 0.0503 0.8398 0.7500 1
B2 B 0.0631 0.3594 0.2498 1
B3 B 0.1269 0.2596 0.7497 1
B4 B 0.2319 0.9419 0.2501 1
B5 B 0.2524 0.4485 0.7497 1
B6 B 0.3751 0.8428 0.7503 1
B7 B 0.4199 0.5503 0.2498 1
B8 B 0.4400 0.0612 0.7501 1
C1 C 0.1653 0.7461 0.2502 1
C2 C 0.3616 0.3542 0.2491 1
```